Structure and calculated X-ray diffraction stick pattern of La5Hg3 (a cell relaxed with GGA-PBE; Cu Kα, 1.54184 Å).
Intensities are scaled so that the largest is 100.

Crystal structure
a = 9.4891 Å, b = 9.4891 Å, c = 9.3820 Å
α = 96.26°, β = 96.26°, γ = 140.92°
Sites, in units of the cell vectors:
La: 0.0821 0.7166 0.8079
La: 0.2138 0.4125 0.6341
La: 0.2634 0.2634 0.0274
La: 0.2834 0.9179 0.1921
La: 0.4125 0.2138 0.6341
La: 0.5875 0.7862 0.3659
La: 0.7166 0.0821 0.8079
La: 0.7366 0.7366 0.9726
La: 0.7862 0.5875 0.3659
La: 0.9179 0.2834 0.1921
Hg: 0.1341 0.1341 0.3255
Hg: 0.2501 0.7499 0.5000
Hg: 0.3388 0.6612 0.0000
Hg: 0.6612 0.3388 0.0000
Hg: 0.7499 0.2501 0.5000
Hg: 0.8659 0.8659 0.6745

Peak list (10 most intense, 2θ from 5° to 70°, most intense first)
- 2θ = 31.7°, I = 100.0
- 2θ = 32.4°, I = 65.2
- 2θ = 29.1°, I = 54.6
- 2θ = 32.7°, I = 47.0
- 2θ = 31.9°, I = 45.9
- 2θ = 31.4°, I = 34.2
- 2θ = 32.6°, I = 29.4
- 2θ = 28.1°, I = 25.9
- 2θ = 34.7°, I = 23.0
- 2θ = 40.2°, I = 19.0

=====

Structure and calculated X-ray diffraction stick pattern of Pu2Cu3O8 (a cell relaxed with GGA-PBE; Cu Kα, 1.54184 Å).
Intensities are scaled so that the largest is 100.

Crystal structure
a = 6.4551 Å, b = 6.4551 Å, c = 12.2153 Å
α = 90.07°, β = 90.07°, γ = 47.31°
Sites, in units of the cell vectors:
Pu: 0.0008 0.4992 0.1402
Pu: 0.4992 0.0008 0.6402
Pu: 0.5008 0.9992 0.3598
Pu: 0.9992 0.5008 0.8598
Cu: 0.1836 0.5771 0.4998
Cu: 0.4229 0.8164 0.0002
Cu: 0.4994 0.5006 0.7500
Cu: 0.5006 0.4994 0.2500
Cu: 0.5771 0.1836 0.9998
Cu: 0.8164 0.4229 0.5002
O: 0.1361 0.2209 0.9998
O: 0.1699 0.1729 0.7498
O: 0.1729 0.1699 0.2498
O: 0.2209 0.1361 0.4998
O: 0.3816 0.3943 0.8659
O: 0.3831 0.3926 0.1341
O: 0.3926 0.3831 0.6341
O: 0.3943 0.3816 0.3659
O: 0.6057 0.6184 0.6341
O: 0.6074 0.6169 0.3659
O: 0.6169 0.6074 0.8659
O: 0.6184 0.6057 0.1341
O: 0.7791 0.8639 0.5002
O: 0.8271 0.8301 0.7502
O: 0.8301 0.8271 0.2502
O: 0.8639 0.7791 0.0002

Peak list (10 most intense, 2θ from 5° to 70°, most intense first)
- 2θ = 28.9°, I = 100.0
- 2θ = 15.0°, I = 83.4
- 2θ = 29.4°, I = 63.2
- 2θ = 20.1°, I = 45.9
- 2θ = 33.0°, I = 31.2
- 2θ = 37.9°, I = 25.7
- 2θ = 36.1°, I = 21.4
- 2θ = 42.7°, I = 19.7
- 2θ = 48.6°, I = 17.5
- 2θ = 58.9°, I = 16.8

=====

Structure and calculated X-ray diffraction stick pattern of Na5B6C4 (a cell relaxed with GGA-PBE; Cu Kα, 1.54184 Å).
Intensities are scaled so that the largest is 100.

Crystal structure
a = 7.6028 Å, b = 7.6028 Å, c = 8.9745 Å
α = 107.67°, β = 107.67°, γ = 37.73°
Sites, in units of the cell vectors:
Na: 0.0500 0.0500 0.2480
Na: 0.1507 0.1507 0.7517
Na: 0.2485 0.2502 0.2471
Na: 0.3498 0.3515 0.7532
Na: 0.4498 0.4492 0.2474
Na: 0.5508 0.5502 0.7526
Na: 0.6485 0.6502 0.2468
Na: 0.7498 0.7515 0.7529
Na: 0.8493 0.8493 0.2483
Na: 0.9500 0.9500 0.7520
B: 0.0210 0.3812 0.4999
B: 0.1342 0.4661 0.0008
B: 0.1627 0.8373 0.5000
B: 0.3339 0.6661 0.0000
B: 0.3842 0.0013 0.4999
B: 0.5339 0.8658 0.9992
B: 0.5697 0.2412 0.5001
B: 0.6188 0.9790 0.5001
B: 0.7343 0.0661 0.0012
B: 0.7588 0.4303 0.4999
B: 0.9339 0.2657 0.9988
B: 0.9987 0.6158 0.5001
C: 0.0678 0.7330 0.0020
C: 0.2331 0.5765 0.5002
C: 0.2670 0.9322 0.9980
C: 0.4235 0.7669 0.4998
C: 0.4677 0.1327 0.0011
C: 0.6676 0.3324 0.0000
C: 0.8289 0.1711 0.5000
C: 0.8673 0.5323 0.9989

Peak list (10 most intense, 2θ from 5° to 70°, most intense first)
- 2θ = 42.1°, I = 100.0
- 2θ = 42.5°, I = 52.0
- 2θ = 42.5°, I = 39.1
- 2θ = 36.2°, I = 19.1
- 2θ = 65.6°, I = 17.1
- 2θ = 57.0°, I = 10.5
- 2θ = 64.8°, I = 8.9
- 2θ = 36.6°, I = 8.0
- 2θ = 57.3°, I = 4.6
- 2θ = 69.6°, I = 1.5

=====

Structure and calculated X-ray diffraction stick pattern of Ba2ZrBi5 (a cell relaxed with GGA-PBE; Cu Kα, 1.54184 Å).
Intensities are scaled so that the largest is 100.

Crystal structure
a = 7.4856 Å, b = 7.4856 Å, c = 7.4948 Å
α = 118.36°, β = 118.36°, γ = 92.64°
Sites, in units of the cell vectors:
Ba: 0.2501 0.7499 0.0000
Ba: 0.7499 0.2501 0.0000
Zr: 0.4923 0.4923 0.4997
Bi: 0.2341 0.7762 0.5000
Bi: 0.2350 0.2350 0.9608
Bi: 0.7743 0.7743 0.0393
Bi: 0.7762 0.2341 0.5000
Bi: 0.7770 0.7770 0.5005

Peak list (10 most intense, 2θ from 5° to 70°, most intense first)
- 2θ = 29.0°, I = 100.0
- 2θ = 32.9°, I = 23.7
- 2θ = 33.1°, I = 23.1
- 2θ = 48.7°, I = 22.7
- 2θ = 34.7°, I = 21.0
- 2θ = 47.4°, I = 16.0
- 2θ = 14.4°, I = 14.8
- 2θ = 56.4°, I = 13.6
- 2θ = 58.7°, I = 13.2
- 2θ = 17.2°, I = 13.1